[1]
# Sm2ThPd3
Computed X-ray powder pattern, Cu Kα, 1.54184 Å. Input: a structure optimized by DFT (GGA-PBE).

The 8 most intense peaks (15° ≤ 2θ ≤ 90°), low angle first:
2theta, intensity
30.26, 100
43.02, 13
43.33, 50
43.63, 12
53.50, 14
54.02, 13
71.40, 17
79.06, 9

Crystal structure
a b c (Å): 7.265 7.265 8.298
angles (deg): 106.51 106.51 47.97
Sites, in units of the cell vectors:
Sm 0.165 0.167 0.083
Sm 0.167 0.165 0.583
Sm 0.833 0.835 0.417
Sm 0.835 0.833 0.917
Th 0.500 0.500 0.250
Th 0.500 0.500 0.750
Pd 0.000 0.000 0.250
Pd 0.000 0.000 0.750
Pd 0.336 0.338 0.418
Pd 0.338 0.336 0.918
Pd 0.662 0.664 0.082
Pd 0.664 0.662 0.582

***

[2]
# Eu2CuH4S2O12
Computed X-ray powder pattern, Cu Kα, 1.54184 Å. Input: a structure optimized by DFT (GGA-PBE).

The 8 most intense peaks (15° ≤ 2θ ≤ 90°), low angle first:
2theta, intensity
25.42, 38
27.87, 100
29.05, 58
30.75, 38
32.82, 55
46.35, 25
49.70, 27
57.54, 29

Crystal structure
a b c (Å): 6.469 7.007 10.907
angles (deg): 90.00 98.11 90.00
Sites, in units of the cell vectors:
Eu 0.084 0.004 0.323
Eu 0.084 0.496 0.823
Eu 0.916 0.504 0.177
Eu 0.916 0.996 0.677
Cu 0.000 0.000 0.000
Cu 0.000 0.500 0.500
H 0.228 0.718 0.607
H 0.228 0.782 0.107
H 0.281 0.603 0.401
H 0.281 0.897 0.901
H 0.719 0.103 0.099
H 0.719 0.397 0.599
H 0.772 0.218 0.893
H 0.772 0.282 0.393
S 0.359 0.172 0.630
S 0.359 0.328 0.130
S 0.641 0.672 0.870
S 0.641 0.828 0.370
O 0.093 0.674 0.626
O 0.093 0.826 0.126
O 0.132 0.640 0.384
O 0.132 0.860 0.884
O 0.214 0.039 0.547
O 0.214 0.461 0.047
O 0.240 0.208 0.737
O 0.240 0.292 0.237
O 0.396 0.152 0.064
O 0.396 0.348 0.564
O 0.447 0.570 0.825
O 0.447 0.930 0.325
O 0.553 0.070 0.675
O 0.553 0.430 0.175
O 0.604 0.652 0.436
O 0.604 0.848 0.936
O 0.760 0.708 0.763
O 0.760 0.792 0.263
O 0.786 0.539 0.953
O 0.786 0.961 0.453
O 0.868 0.140 0.116
O 0.868 0.360 0.616
O 0.907 0.174 0.874
O 0.907 0.326 0.374

***

[3]
# Ce6SiTe5
Computed X-ray powder pattern, Cu Kα, 1.54184 Å. Input: a structure optimized by DFT (GGA-PBE).

The 8 most intense peaks (15° ≤ 2θ ≤ 90°), low angle first:
2theta, intensity
28.36, 100
40.48, 37
40.60, 37
50.22, 13
58.67, 12
66.30, 11
66.44, 10
66.55, 11

Crystal structure
a b c (Å): 7.712 7.712 7.689
angles (deg): 99.62 99.62 119.83
Sites, in units of the cell vectors:
Ce 0.078 0.392 0.735
Ce 0.231 0.231 0.256
Ce 0.392 0.078 0.735
Ce 0.608 0.922 0.265
Ce 0.769 0.769 0.744
Ce 0.922 0.608 0.265
Si 0.000 0.000 0.500
Te 0.175 0.825 0.000
Te 0.335 0.665 0.500
Te 0.500 0.500 0.000
Te 0.665 0.335 0.500
Te 0.825 0.175 0.000

***

[4]
# PmDyEr3
Computed X-ray powder pattern, Cu Kα, 1.54184 Å. Input: a structure optimized by DFT (GGA-PBE).

The 8 most intense peaks (15° ≤ 2θ ≤ 90°), low angle first:
2theta, intensity
31.13, 32
32.14, 23
33.54, 100
45.35, 18
56.94, 22
58.20, 14
60.85, 10
70.49, 10

Crystal structure
a b c (Å): 3.590 11.492 8.545
angles (deg): 90.00 102.10 90.00
Sites, in units of the cell vectors:
Pm 0.014 0.250 0.026
Pm 0.986 0.750 0.974
Dy 0.313 0.750 0.627
Dy 0.687 0.250 0.373
Er 0.158 0.000 0.316
Er 0.158 0.500 0.316
Er 0.346 0.250 0.692
Er 0.654 0.750 0.308
Er 0.842 0.000 0.684
Er 0.842 0.500 0.684

***

[5]
# PmDy2Pd
Computed X-ray powder pattern, Cu Kα, 1.54184 Å. Input: a structure optimized by DFT (GGA-PBE).

The 8 most intense peaks (15° ≤ 2θ ≤ 90°), low angle first:
2theta, intensity
30.10, 85
30.76, 85
31.18, 76
31.52, 100
33.31, 54
34.14, 69
35.43, 52
55.67, 56

Crystal structure
a b c (Å): 7.102 9.737 6.531
angles (deg): 90.00 90.00 90.00
Sites, in units of the cell vectors:
Pm 0.020 0.250 0.134
Pm 0.480 0.750 0.634
Pm 0.520 0.250 0.366
Pm 0.980 0.750 0.866
Dy 0.179 0.060 0.672
Dy 0.179 0.440 0.672
Dy 0.321 0.560 0.172
Dy 0.321 0.940 0.172
Dy 0.679 0.060 0.828
Dy 0.679 0.440 0.828
Dy 0.821 0.560 0.328
Dy 0.821 0.940 0.328
Pd 0.113 0.750 0.428
Pd 0.387 0.250 0.928
Pd 0.613 0.750 0.072
Pd 0.887 0.250 0.572

***

[6]
# HoErO3
Computed X-ray powder pattern, Cu Kα, 1.54184 Å. Input: a structure optimized by DFT (GGA-PBE).

The 8 most intense peaks (15° ≤ 2θ ≤ 90°), low angle first:
2theta, intensity
28.21, 46
28.89, 65
31.43, 100
35.30, 21
45.78, 20
49.53, 41
51.99, 27
57.98, 38

Crystal structure
a b c (Å): 6.375 6.375 12.653
angles (deg): 90.00 90.00 120.00
Sites, in units of the cell vectors:
Ho 0.000 0.000 0.000
Ho 0.000 0.000 0.500
Ho 0.333 0.667 0.467
Ho 0.333 0.667 0.967
Ho 0.667 0.333 0.467
Ho 0.667 0.333 0.967
Er 0.000 0.333 0.231
Er 0.000 0.667 0.731
Er 0.333 0.000 0.231
Er 0.333 0.333 0.731
Er 0.667 0.000 0.731
Er 0.667 0.667 0.231
O 0.000 0.000 0.196
O 0.000 0.000 0.696
O 0.000 0.304 0.405
O 0.000 0.366 0.060
O 0.000 0.634 0.560
O 0.000 0.696 0.905
O 0.304 0.000 0.405
O 0.304 0.304 0.905
O 0.333 0.667 0.260
O 0.333 0.667 0.760
O 0.366 0.000 0.060
O 0.366 0.366 0.560
O 0.634 0.000 0.560
O 0.634 0.634 0.060
O 0.667 0.333 0.260
O 0.667 0.333 0.760
O 0.696 0.000 0.905
O 0.696 0.696 0.405

***

[7]
# Tl2AgTe2Se4
Computed X-ray powder pattern, Cu Kα, 1.54184 Å. Input: a structure optimized by DFT (GGA-PBE).

The 8 most intense peaks (15° ≤ 2θ ≤ 90°), low angle first:
2theta, intensity
19.96, 21
24.58, 100
25.46, 24
30.10, 27
32.85, 42
34.94, 52
35.64, 35
38.28, 35

Crystal structure
a b c (Å): 8.240 8.240 8.984
angles (deg): 118.28 118.28 33.16
Sites, in units of the cell vectors:
Tl 0.108 0.108 0.248
Tl 0.892 0.892 0.752
Ag 0.000 0.000 0.500
Te 0.298 0.298 0.133
Te 0.702 0.702 0.867
Se 0.181 0.181 0.654
Se 0.453 0.453 0.103
Se 0.547 0.547 0.897
Se 0.819 0.819 0.346

***

[8]
# Dy6IrSe4
Computed X-ray powder pattern, Cu Kα, 1.54184 Å. Input: a structure optimized by DFT (GGA-PBE).

The 8 most intense peaks (15° ≤ 2θ ≤ 90°), low angle first:
2theta, intensity
29.14, 100
30.49, 62
31.41, 99
32.91, 35
42.31, 36
44.13, 38
44.41, 30
45.90, 37

Crystal structure
a b c (Å): 6.993 6.993 20.677
angles (deg): 90.00 90.00 147.15
Sites, in units of the cell vectors:
Dy 0.000 0.000 0.000
Dy 0.000 0.000 0.500
Dy 0.182 0.818 0.750
Dy 0.270 0.730 0.097
Dy 0.270 0.730 0.403
Dy 0.431 0.569 0.670
Dy 0.431 0.569 0.830
Dy 0.569 0.431 0.170
Dy 0.569 0.431 0.330
Dy 0.730 0.270 0.597
Dy 0.730 0.270 0.903
Dy 0.818 0.182 0.250
Ir 0.172 0.828 0.250
Ir 0.828 0.172 0.750
Se 0.081 0.919 0.626
Se 0.081 0.919 0.874
Se 0.357 0.643 0.536
Se 0.357 0.643 0.964
Se 0.643 0.357 0.036
Se 0.643 0.357 0.464
Se 0.919 0.081 0.126
Se 0.919 0.081 0.374

***

[9]
# ZrTi3Se8
Computed X-ray powder pattern, Cu Kα, 1.54184 Å. Input: a structure optimized by DFT (GGA-PBE).

The 8 most intense peaks (15° ≤ 2θ ≤ 90°), low angle first:
2theta, intensity
25.82, 19
29.92, 29
33.39, 100
33.74, 49
45.23, 19
45.68, 38
50.61, 45
62.17, 16

Crystal structure
a b c (Å): 7.210 7.210 8.105
angles (deg): 117.02 117.02 60.10
Sites, in units of the cell vectors:
Zr 0.000 0.000 0.000
Ti 0.000 0.500 0.000
Ti 0.500 0.000 0.000
Ti 0.500 0.500 0.000
Se 0.251 0.251 0.228
Se 0.251 0.732 0.228
Se 0.258 0.258 0.779
Se 0.268 0.749 0.772
Se 0.732 0.251 0.228
Se 0.742 0.742 0.221
Se 0.749 0.268 0.772
Se 0.749 0.749 0.772

***

[10]
# AcTbPr2Sm
Computed X-ray powder pattern, Cu Kα, 1.54184 Å. Input: a structure optimized by DFT (GGA-PBE).

The 8 most intense peaks (15° ≤ 2θ ≤ 90°), low angle first:
2theta, intensity
20.33, 19
25.35, 29
30.01, 100
30.22, 38
30.71, 13
34.99, 23
50.26, 15
53.55, 20

Crystal structure
a b c (Å): 3.751 5.914 8.735
angles (deg): 90.00 90.18 90.00
Sites, in units of the cell vectors:
Ac 0.000 0.000 0.000
Tb 0.500 0.000 0.500
Pr 0.002 0.500 0.323
Pr 0.998 0.500 0.677
Sm 0.500 0.500 0.000

***

[11]
# LiTlIrF6
Computed X-ray powder pattern, Cu Kα, 1.54184 Å. Input: a structure optimized by DFT (GGA-PBE).

The 8 most intense peaks (15° ≤ 2θ ≤ 90°), low angle first:
2theta, intensity
20.35, 44
24.03, 100
29.21, 17
33.17, 27
41.38, 22
44.96, 40
49.14, 15
54.03, 22

Crystal structure
a b c (Å): 5.402 5.402 12.118
angles (deg): 90.00 90.00 120.00
Sites, in units of the cell vectors:
Li 0.333 0.667 0.250
Li 0.667 0.333 0.750
Tl 0.000 0.000 0.000
Tl 0.000 0.000 0.500
Ir 0.333 0.667 0.750
Ir 0.667 0.333 0.250
F 0.017 0.375 0.660
F 0.017 0.643 0.840
F 0.357 0.375 0.840
F 0.357 0.983 0.660
F 0.375 0.017 0.160
F 0.375 0.357 0.340
F 0.625 0.643 0.660
F 0.625 0.983 0.840
F 0.643 0.017 0.340
F 0.643 0.625 0.160
F 0.983 0.357 0.160
F 0.983 0.625 0.340